Diffraction record for KCd. The PXRD pattern is simulated, not measured: it uses a DFT-relaxed cell (PBE, OQMD) and Cu Ka.
Neutral-atom scattering factors, no anomalous dispersion.

Largest 10 diffraction maxima, by angle, 2θ = 15–90°:
(hkl), Position (°2θ), I/Imax
1 0 -4, 20.05, 145
0 0 5, 20.43, 371
1 1 -4, 26.75, 136
0 1 5, 27.04, 357
2 0 -3, 27.97, 235
1 0 6, 28.77, 131
2 1 2, 33.18, 1000
0 2 0, 35.50, 379
3 1 3, 46.29, 162
2 3 2, 62.28, 151

Atomic structure:
Cell lengths 6.8648, 5.0577, 21.8067 Å; angles 90.00, 94.50, 90.00 degrees
Space group P2_1/m (No. 11)
One atom of each set of equivalent atoms:
K1 0.0308 0.2500 0.1677 [2 per cell]
K2 0.1930 0.7500 0.6318 [2 per cell]
K3 0.2200 0.7500 0.0336 [2 per cell]
K4 0.3732 0.7500 0.4325 [2 per cell]
K5 0.4489 0.2500 0.7697 [2 per cell]
Cd1 0.0742 0.7500 0.2899 [2 per cell]
Cd2 0.1060 0.2500 0.5119 [2 per cell]
Cd3 0.2757 0.2500 0.9202 [2 per cell]
Cd4 0.2863 0.2500 0.3162 [2 per cell]
Cd5 0.4756 0.7500 0.8942 [2 per cell]